Calculated X-ray powder pattern of VFeP2O8 for CuKα, from a DFT-relaxed cell (PBE+U, Alexandria).
Kinematic intensities with the Lorentz-polarization factor, no thermal factor.

Atomic structure:
```
data_VFeP2O8
_space_group_name_H-M_alt 'R 3'
_space_group_IT_number 146
_space_group_name_Hall 'R 3'
_cell_length_a 8.6475
_cell_length_b 8.6475
_cell_length_c 20.7445
_cell_angle_alpha 90.00
_cell_angle_beta 90.00
_cell_angle_gamma 120.00
loop_
_atom_site_label
_atom_site_fract_x
_atom_site_fract_y
_atom_site_fract_z
V1 0.0000 0.0000 0.0000
V2 0.0000 0.0000 0.2158
V3 0.0000 0.0000 0.5002
Fe1 0.0000 0.0000 0.3567
Fe2 0.0000 0.0000 0.7140
Fe3 0.0000 0.0000 0.8552
P1 0.0013 0.2928 0.1077
P2 0.0030 0.7096 0.6080
O1 0.9997 0.8080 0.5457
O2 0.0023 0.1930 0.0454
O3 0.0091 0.1978 0.1676
O4 0.0126 0.8123 0.6682
O5 0.0163 0.8293 0.2813
O6 0.0175 0.1862 0.7803
O7 0.1707 0.4838 0.1008
O8 0.1722 0.6888 0.6002
```

Main lines, by intensity (10 to 90 degrees two-theta):
| hkl | 2θ (°) | I_rel |
| --- | --- | --- |
| 2 -1 3 | 24.28 | 1000 |
| 1 1 0 | 20.54 | 767 |
| 2 -1 6 | 33.18 | 641 |
| 3 0 0 | 35.98 | 338 |
| 3 -2 8 | 47.56 | 308 |
| 2 2 6 | 49.74 | 237 |
| 4 1 0 | 56.29 | 220 |
| 2 0 2 | 25.29 | 183 |
| 4 1 6 | 62.90 | 165 |
| 3 -1 1 | 31.91 | 163 |